# 1
This entry pairs a crystal structure of Ta4Ti2W with its simulated powder XRD pattern. Radiation: a wavelength of 1.5418 Å. Structure: a crystal structure in Alexandria, relaxed with GGA-PBE.
Lines closer than 0.1° are merged.

Top 10 peaks for 2θ from 10° to 90°, low angle first:
2θ/deg  d_spacing  intensity
14.47  6.120  29
38.68  2.328  33
38.74  2.325  32
38.94  2.313  100
39.03  2.308  32
56.31  1.634  22
70.28  1.339  16
70.52  1.335  17
70.80  1.331  11
83.62  1.156  11

Crystal structure
Unit cell a=2.846 b=7.118 c=7.130 alpha=118.33 beta=97.70 gamma=97.09
Atoms (fractional coordinates):
Ta 0.129 0.072 0.353
Ta 0.265 0.638 0.217
Ta 0.735 0.362 0.783
Ta 0.871 0.928 0.647
Ti 0.491 0.225 0.084
Ti 0.509 0.775 0.916
W 0.000 0.500 0.500

# 2
This entry pairs a crystal structure of Ta2TiW6 with its simulated powder XRD pattern. Radiation: a wavelength of 1.5418 Å. Structure: a crystal structure in Alexandria, relaxed with GGA-PBE.
Lines closer than 0.1° are merged.

Top 10 peaks for 2θ from 10° to 90°, low angle first:
2θ/deg  d_spacing  intensity
16.12  5.498  16
20.66  4.300  16
39.40  2.287  54
39.72  2.269  100
40.50  2.227  43
40.85  2.209  85
57.79  1.596  31
71.67  1.317  18
72.37  1.306  30
74.66  1.271  17

Crystal structure
Unit cell a=4.574 b=5.549 c=6.762 alpha=82.67 beta=70.30 gamma=90.00
Atoms (fractional coordinates):
Ta 0.104 0.480 0.291
Ta 0.896 0.520 0.709
Ti 0.000 0.000 0.500
W 0.296 0.333 0.908
W 0.302 0.854 0.894
W 0.500 0.252 0.500
W 0.500 0.748 0.500
W 0.698 0.146 0.106
W 0.704 0.667 0.092

# 3
This entry pairs a crystal structure of Ta3Ti2W2 with its simulated powder XRD pattern. Radiation: a wavelength of 1.5418 Å. Structure: a crystal structure in Alexandria, relaxed with GGA-PBE.
Lines closer than 0.1° are merged.

Top 10 peaks for 2θ from 10° to 90°, low angle first:
2θ/deg  d_spacing  intensity
38.74  2.325  50
39.16  2.301  100
39.27  2.294  99
39.56  2.278  49
56.38  1.632  17
56.75  1.622  36
70.55  1.335  17
70.84  1.330  17
71.41  1.321  34
71.65  1.317  17

Crystal structure
Unit cell a=5.377 b=5.377 c=7.324 alpha=98.74 beta=98.74 gamma=35.11
Atoms (fractional coordinates):
Ta 0.000 0.000 0.000
Ta 0.145 0.145 0.415
Ta 0.855 0.855 0.585
Ti 0.420 0.420 0.290
Ti 0.580 0.580 0.710
W 0.286 0.286 0.866
W 0.714 0.714 0.134

# 4
This entry pairs a crystal structure of Y2TaTi2 with its simulated powder XRD pattern. Radiation: a wavelength of 1.5418 Å. Structure: a crystal structure in Alexandria, relaxed with GGA-PBE.
Lines closer than 0.1° are merged.

Top 10 peaks for 2θ from 10° to 90°, low angle first:
2θ/deg  d_spacing  intensity
18.12  4.896  38
25.75  3.460  79
31.65  2.827  100
34.26  2.617  96
36.67  2.451  28
36.80  2.442  49
41.19  2.192  79
56.39  1.632  61
59.67  1.550  32
72.15  1.309  31

Crystal structure
Unit cell a=6.932 b=6.932 c=4.885 alpha=90.00 beta=90.00 gamma=90.00
Atoms (fractional coordinates):
Y 0.174 0.326 0.000
Y 0.326 0.826 0.000
Y 0.674 0.174 0.000
Y 0.826 0.674 0.000
Ta 0.000 0.000 0.500
Ta 0.500 0.500 0.500
Ti 0.139 0.639 0.500
Ti 0.361 0.139 0.500
Ti 0.639 0.861 0.500
Ti 0.861 0.361 0.500

# 5
This entry pairs a crystal structure of TaTi4Zn with its simulated powder XRD pattern. Radiation: a wavelength of 1.5418 Å. Structure: a crystal structure in Alexandria, relaxed with GGA-PBE.
Lines closer than 0.1° are merged.

Top 10 peaks for 2θ from 10° to 90°, low angle first:
2θ/deg  d_spacing  intensity
11.61  7.621  55
19.07  4.654  21
22.38  3.972  59
23.34  3.811  27
37.68  2.387  40
38.70  2.327  60
39.70  2.271  100
40.46  2.230  96
42.56  2.124  38
55.12  1.666  26

Crystal structure
Unit cell a=2.867 b=4.654 c=7.650 alpha=90.00 beta=94.99 gamma=90.00
Atoms (fractional coordinates):
Ta 0.000 0.000 0.000
Ti 0.273 0.000 0.665
Ti 0.450 0.500 0.128
Ti 0.689 0.000 0.343
Ti 0.755 0.500 0.783
Zn 0.152 0.500 0.464

# 6
This entry pairs a crystal structure of Ta3Tl with its simulated powder XRD pattern. Radiation: a wavelength of 1.5418 Å. Structure: a crystal structure in Alexandria, relaxed with GGA-PBE.
Lines closer than 0.1° are merged.

Top 10 peaks for 2θ from 10° to 90°, low angle first:
2θ/deg  d_spacing  intensity
34.96  2.567  30
36.10  2.488  46
38.27  2.352  65
39.51  2.281  100
51.13  1.786  21
60.94  1.520  19
66.35  1.409  13
67.20  1.393  21
72.92  1.297  23
76.69  1.243  18

Crystal structure
Unit cell a=2.927 b=4.976 c=5.337 alpha=90.00 beta=90.00 gamma=90.00
Atoms (fractional coordinates):
Ta 0.000 0.000 0.000
Ta 0.000 0.500 0.304
Ta 0.500 0.000 0.474
Tl 0.500 0.500 0.800

# 7
This entry pairs a crystal structure of Ta3Tl with its simulated powder XRD pattern. Radiation: a wavelength of 1.5418 Å. Structure: a crystal structure in Alexandria, relaxed with GGA-PBE.
Lines closer than 0.1° are merged.

Top 10 peaks for 2θ from 10° to 90°, low angle first:
2θ/deg  d_spacing  intensity
36.92  2.435  26
37.42  2.403  100
37.93  2.372  23
53.96  1.699  26
66.84  1.400  19
67.17  1.394  9
67.84  1.382  9
68.18  1.375  15
78.57  1.217  3
79.82  1.202  11

Crystal structure
Unit cell a=2.969 b=2.969 c=9.487 alpha=90.00 beta=90.00 gamma=110.17
Atoms (fractional coordinates):
Ta 0.000 0.000 0.000
Ta 0.500 0.500 0.235
Ta 0.500 0.500 0.765
Tl 0.000 0.000 0.500

# 8
This entry pairs a crystal structure of TaTl2W with its simulated powder XRD pattern. Radiation: a wavelength of 1.5418 Å. Structure: a crystal structure in Alexandria, relaxed with GGA-PBE.
Lines closer than 0.1° are merged.

Top 10 peaks for 2θ from 10° to 90°, low angle first:
2θ/deg  d_spacing  intensity
25.23  3.530  14
33.85  2.648  18
35.02  2.562  32
36.31  2.474  100
41.16  2.193  10
49.50  1.841  12
54.31  1.689  15
54.97  1.670  9
63.65  1.462  20
66.86  1.399  10

Crystal structure
Unit cell a=3.059 b=3.059 c=10.591 alpha=90.00 beta=90.00 gamma=113.80
Atoms (fractional coordinates):
Ta 0.000 0.000 0.000
Tl 0.000 0.000 0.433
Tl 0.500 0.500 0.743
W 0.500 0.500 0.185

# 9
This entry pairs a crystal structure of YTa2Tl2 with its simulated powder XRD pattern. Radiation: a wavelength of 1.5418 Å. Structure: a crystal structure in Alexandria, relaxed with GGA-PBE.
Lines closer than 0.1° are merged.

Top 10 peaks for 2θ from 10° to 90°, low angle first:
2θ/deg  d_spacing  intensity
22.81  3.899  43
29.00  3.079  23
33.71  2.659  100
38.72  2.325  52
40.44  2.230  68
44.69  2.028  52
60.10  1.539  21
60.59  1.528  28
74.61  1.272  23
79.46  1.206  20

Crystal structure
Unit cell a=7.654 b=7.654 c=7.654 alpha=149.27 beta=149.27 gamma=44.01
Atoms (fractional coordinates):
Y 0.000 0.000 0.000
Ta 0.250 0.750 0.500
Ta 0.750 0.250 0.500
Tl 0.399 0.399 0.000
Tl 0.601 0.601 0.000

# 10
This entry pairs a crystal structure of YTaTl2 with its simulated powder XRD pattern. Radiation: a wavelength of 1.5418 Å. Structure: a crystal structure in Alexandria, relaxed with GGA-PBE.
Lines closer than 0.1° are merged.

Top 10 peaks for 2θ from 10° to 90°, low angle first:
2θ/deg  d_spacing  intensity
32.69  2.739  61
34.56  2.595  53
35.21  2.549  100
35.57  2.524  97
48.31  1.884  41
59.74  1.548  22
60.46  1.531  21
62.35  1.489  19
62.58  1.484  19
65.20  1.431  17

Crystal structure
Unit cell a=6.126 b=6.126 c=3.211 alpha=103.42 beta=103.42 gamma=115.84
Atoms (fractional coordinates):
Y 0.000 0.000 0.000
Ta 0.500 0.500 0.000
Tl 0.000 0.500 0.500
Tl 0.500 0.000 0.500

# 11
This entry pairs a crystal structure of YTaTl with its simulated powder XRD pattern. Radiation: a wavelength of 1.5418 Å. Structure: a crystal structure in Alexandria, relaxed with GGA-PBE.
Lines closer than 0.1° are merged.

Top 10 peaks for 2θ from 10° to 90°, low angle first:
2θ/deg  d_spacing  intensity
12.27  7.212  16
29.18  3.061  6
34.17  2.624  100
37.41  2.404  19
40.74  2.215  31
56.50  1.629  23
58.98  1.566  11
65.42  1.427  14
69.96  1.345  25
71.96  1.312  11

Crystal structure
Unit cell a=7.544 b=7.544 c=7.544 alpha=156.04 beta=156.04 gamma=34.14
Atoms (fractional coordinates):
Y 0.000 0.000 0.000
Ta 0.340 0.340 0.000
Tl 0.681 0.681 0.000

# 12
This entry pairs a crystal structure of Ta2TlZn with its simulated powder XRD pattern. Radiation: a wavelength of 1.5418 Å. Structure: a crystal structure in Alexandria, relaxed with GGA-PBE.
Lines closer than 0.1° are merged.

Top 10 peaks for 2θ from 10° to 90°, low angle first:
2θ/deg  d_spacing  intensity
37.17  2.419  31
37.36  2.407  100
37.48  2.400  49
38.28  2.351  14
42.20  2.142  28
50.10  1.821  11
57.62  1.600  14
67.53  1.387  11
73.55  1.288  9
73.97  1.281  17

Crystal structure
Unit cell a=3.011 b=4.283 c=5.979 alpha=90.00 beta=103.20 gamma=90.00
Atoms (fractional coordinates):
Ta 0.000 0.000 0.000
Ta 0.305 0.500 0.743
Tl 0.609 0.500 0.259
Zn 0.707 0.000 0.539

> Number 8 is which compound?

TaTl2W